This entry pairs a crystal structure of CsHf3Bi with its theoretical X-ray diffraction stick pattern. Radiation: Cu Kα (weighted mean of Kα1 and Kα2). Structure: a crystal structure in Alexandria, relaxed with GGA-PBE.

Crystal structure
```
data_CsHf3Bi
_symmetry_space_group_name_H-M 'P m -3 m'
_symmetry_Int_Tables_number 221
_symmetry_space_group_name_Hall '-P 4 2 3'
_cell_length_a 5.6059
_cell_length_b 5.6059
_cell_length_c 5.6059
_cell_angle_alpha 90.00
_cell_angle_beta 90.00
_cell_angle_gamma 90.00
loop_
_atom_site_label
_atom_site_type_symbol
_atom_site_fract_x
_atom_site_fract_y
_atom_site_fract_z
Cs1 Cs 0.0000 0.0000 0.0000
Hf1 Hf 0.0000 0.5000 0.5000
Bi1 Bi 0.5000 0.5000 0.5000
```

Principal peaks in the range 10° ≤ 2θ ≤ 90°, by angle:
2θ = 15.8°, I 44.5; 2θ = 22.4°, I 16.7; 2θ = 27.6°, I 53.3; 2θ = 31.9°, I 100.0; 2θ = 35.8°, I 25.4; 2θ = 45.8°, I 74.5; 2θ = 54.3°, I 24.1; 2θ = 56.9°, I 26.3; 2θ = 75.9°, I 34.2; 2θ = 84.7°, I 26.3